For KMg3V3CuO12, a crystal structure in Alexandria, relaxed with GGA+U gives the calculated powder XRD pattern in this record (Cu Kα X-rays).

Structure:
Lattice parameters (Å, degrees): 8.899 8.899 6.958 104.60 104.60 92.63
Fractional positions:
K 0.015 0.985 0.750
K 0.985 0.015 0.250
Mg 0.052 0.375 0.623
Mg 0.259 0.741 0.250
Mg 0.375 0.052 0.123
Mg 0.625 0.948 0.877
Mg 0.741 0.259 0.750
Mg 0.948 0.625 0.377
V 0.119 0.353 0.121
V 0.289 0.711 0.750
V 0.353 0.119 0.621
V 0.647 0.881 0.379
V 0.711 0.289 0.250
V 0.881 0.647 0.879
Cu 0.497 0.503 0.750
Cu 0.503 0.497 0.250
O 0.013 0.668 0.123
O 0.028 0.401 0.321
O 0.173 0.183 0.611
O 0.180 0.748 0.522
O 0.183 0.173 0.111
O 0.252 0.820 0.978
O 0.272 0.510 0.730
O 0.279 0.497 0.176
O 0.332 0.987 0.377
O 0.401 0.028 0.821
O 0.490 0.728 0.770
O 0.497 0.279 0.676
O 0.503 0.721 0.324
O 0.510 0.272 0.230
O 0.599 0.972 0.179
O 0.668 0.013 0.623
O 0.721 0.503 0.824
O 0.728 0.490 0.270
O 0.748 0.180 0.022
O 0.817 0.827 0.889
O 0.820 0.252 0.478
O 0.827 0.817 0.389
O 0.972 0.599 0.679
O 0.987 0.332 0.877

Top 6 peaks for 2θ = 5–70°, low angle first:
2theta	I (rel.)
24.3	29
26.2	33
26.6	89
27.5	53
31.3	46
31.9	100